Entry 1:
The following is a calculated powder X-ray diffraction pattern of V2CoO4. It was derived from DFT lattice parameters and positions (GGA+U), using Cu Ka.
Peak positions follow from Bragg's law for the DFT cell and can differ from measured ones.

Atomic structure:
Lattice parameters (Å, degrees): 6.0446 6.0446 6.0446 119.36 119.36 91.11
Atoms (fractional coordinates):
V: 0.0000 0.0000 0.0000
V: 0.5000 0.0000 0.0000
V: 0.5000 0.0000 0.5000
V: 0.5000 0.5000 0.5000
Co: 0.1250 0.3750 0.7500
Co: 0.8750 0.6250 0.2500
O: 0.2523 0.2372 0.4721
O: 0.2628 0.2349 0.0151
O: 0.2651 0.7802 0.0279
O: 0.2802 0.7523 0.5151
O: 0.7198 0.2477 0.4849
O: 0.7349 0.2198 0.9721
O: 0.7372 0.7651 0.9849
O: 0.7477 0.7628 0.5279

Largest 8 diffraction maxima, low angle first, 10 to 80 degrees two-theta:
| 2θ (°) | intensity |
| --- | --- |
| 29.3 | 19 |
| 29.6 | 36 |
| 34.5 | 100 |
| 35.0 | 50 |
| 41.9 | 16 |
| 55.4 | 32 |
| 60.7 | 23 |
| 61.4 | 45 |


Entry 2:
The following is a calculated powder X-ray diffraction pattern of Li2VF7. It was derived from DFT lattice parameters and positions (GGA+U), using Cu Ka.
Peak positions follow from Bragg's law for the DFT cell and can differ from measured ones.

Atomic structure:
Lattice parameters (Å, degrees): 6.9128 6.9940 10.3682 90.00 90.00 90.00
Atoms (fractional coordinates):
Li: 0.1504 0.2500 0.2282
Li: 0.1759 0.7500 0.9939
Li: 0.3241 0.2500 0.4939
Li: 0.3496 0.7500 0.7282
Li: 0.6504 0.2500 0.2718
Li: 0.6759 0.7500 0.5061
Li: 0.8241 0.2500 0.0061
Li: 0.8496 0.7500 0.7718
V: 0.2037 0.7500 0.4344
V: 0.2963 0.2500 0.9344
V: 0.7037 0.7500 0.0656
V: 0.7963 0.2500 0.5656
F: 0.0408 0.2500 0.4989
F: 0.0436 0.2500 0.8847
F: 0.1127 0.7500 0.8216
F: 0.1426 0.5663 0.3227
F: 0.1426 0.9337 0.3227
F: 0.2292 0.0683 0.0557
F: 0.2292 0.4317 0.0557
F: 0.2708 0.5683 0.5557
F: 0.2708 0.9317 0.5557
F: 0.3574 0.0663 0.8227
F: 0.3574 0.4337 0.8227
F: 0.3873 0.2500 0.3216
F: 0.4564 0.7500 0.3847
F: 0.4592 0.7500 0.9989
F: 0.5408 0.2500 0.0011
F: 0.5436 0.2500 0.6153
F: 0.6127 0.7500 0.6784
F: 0.6426 0.5663 0.1773
F: 0.6426 0.9337 0.1773
F: 0.7292 0.0683 0.4443
F: 0.7292 0.4317 0.4443
F: 0.7708 0.5683 0.9443
F: 0.7708 0.9317 0.9443
F: 0.8574 0.0663 0.6773
F: 0.8574 0.4337 0.6773
F: 0.8873 0.2500 0.1784
F: 0.9564 0.7500 0.1153
F: 0.9592 0.7500 0.5011

Largest 8 diffraction maxima, low angle first, 10 to 80 degrees two-theta:
| 2θ (°) | intensity |
| --- | --- |
| 17.1 | 32 |
| 20.0 | 100 |
| 21.4 | 35 |
| 25.5 | 21 |
| 28.8 | 32 |
| 33.5 | 21 |
| 38.9 | 24 |
| 45.5 | 24 |